Starting from a structure optimized by DFT (GGA+U), the X-ray powder pattern of Mg6NbFeO8 was computed for a wavelength of 1.5418 Å.
Peak positions follow from Bragg's law for the DFT cell and can differ from measured ones.

Peak list (10 most intense, 2θ from 10° to 80°, by angle)
hkl, Position (°2θ), d (Å), I_rel
0 0 2, 20.14, 4.409, 20
1 0 0, 20.53, 4.326, 37
1 0 2, 28.91, 3.088, 31
1 1 2, 35.72, 2.513, 51
0 0 4, 40.94, 2.204, 52
2 0 0, 41.76, 2.163, 100
2 0 4, 59.91, 1.544, 59
2 2 0, 60.54, 1.529, 31
3 1 2, 72.31, 1.307, 16
2 2 4, 75.68, 1.257, 27

Crystal structure
```
data_Mg6NbFeO8
_symmetry_space_group_name_H-M 'P 4/m m m'
_symmetry_Int_Tables_number 123
_symmetry_space_group_name_Hall '-P 4 2'
_cell_length_a 4.326
_cell_length_b 4.326
_cell_length_c 8.818
_cell_angle_alpha 90.00
_cell_angle_beta 90.00
_cell_angle_gamma 90.00
loop_
_atom_site_label
_atom_site_fract_x
_atom_site_fract_y
_atom_site_fract_z
_atom_site_occupancy
Mg1 0.000 0.000 0.000 1
Mg2 0.000 0.000 0.500 1
Mg3 0.000 0.500 0.237 1
Nb1 0.500 0.500 0.500 1
Fe1 0.500 0.500 0.000 1
O1 0.000 0.000 0.251 1
O2 0.000 0.500 0.000 1
O3 0.000 0.500 0.500 1
O4 0.500 0.500 0.255 1
```